# PuMg2ZnHg4
Theoretical powder XRD pattern, Cu Kα (weighted mean of Kα1 and Kα2). Input: a structure optimized by DFT (GGA-PBE).
Kinematic intensities with the Lorentz-polarization factor, no thermal factor.

Atomic structure:
```
data_PuMg2ZnHg4
_chemical_formula_sum 'Pu3 Mg6 Zn3 Hg12'
_cell_length_a 4.8854
_cell_length_b 4.8854
_cell_length_c 26.5085
_cell_angle_alpha 90.00
_cell_angle_beta 90.00
_cell_angle_gamma 120.00
_space_group_name_H-M_alt 'R -3 m'
_space_group_IT_number 166
_space_group_name_Hall '-R 3 2"'
loop_
_atom_site_label
_atom_site_type_symbol
_atom_site_fract_x
_atom_site_fract_y
_atom_site_fract_z
Pu1 Pu 0.0000 0.0000 0.0000
Mg1 Mg 0.0000 0.0000 0.2449
Zn1 Zn 0.0000 0.0000 0.5000
Hg1 Hg 0.0000 0.0000 0.1264
Hg2 Hg 0.0000 0.0000 0.3854
```

Top 6 peaks for 10 to 90 degrees two-theta, low angle first:
22.1 deg, I = 218, hkl 0 1 2; 25.0 deg, I = 338, hkl 1 0 4; 34.4 deg, I = 1000, hkl 0 1 8; 36.8 deg, I = 921, hkl 1 1 0; 51.2 deg, I = 328, hkl 2 0 8; 64.7 deg, I = 327, hkl 1 2 8

=====

# RbMg2Hg
Theoretical powder XRD pattern, Cu Kα (weighted mean of Kα1 and Kα2). Input: a structure optimized by DFT (GGA-PBE).
Kinematic intensities with the Lorentz-polarization factor, no thermal factor.

Atomic structure:
```
data_RbMg2Hg
_chemical_formula_sum 'Rb4 Mg8 Hg4'
_cell_length_a 6.076
_cell_length_b 6.076
_cell_length_c 18.791
_cell_angle_alpha 90.00
_cell_angle_beta 90.00
_cell_angle_gamma 90.00
_space_group_name_H-M_alt 'I 41/a m d'
_space_group_IT_number 141
loop_
_space_group_symop_operation_xyz
'x,y,z'
'-x,-y,-z'
'-y+1/4,x+3/4,z+1/4'
'y+1/4,-x+3/4,-z+1/4'
'-x+1/2,-y,z+1/2'
'x+1/2,y,-z+1/2'
'y+1/4,-x+1/4,z+3/4'
'-y+1/4,x+1/4,-z+3/4'
'x,-y,-z'
'-x,y,z'
'-y+1/4,-x+1/4,-z+3/4'
'y+1/4,x+1/4,z+3/4'
'-x+1/2,y,-z+1/2'
'x+1/2,-y,z+1/2'
'y+1/4,x+3/4,-z+1/4'
'-y+1/4,-x+3/4,z+1/4'
'x+1/2,y+1/2,z+1/2'
'-x+1/2,-y+1/2,-z+1/2'
'-y+3/4,x+1/4,z+3/4'
'y+3/4,-x+1/4,-z+3/4'
'-x,-y+1/2,z'
'x,y+1/2,-z'
'y+3/4,-x+3/4,z+1/4'
'-y+3/4,x+3/4,-z+1/4'
'x+1/2,-y+1/2,-z+1/2'
'-x+1/2,y+1/2,z+1/2'
'-y+3/4,-x+3/4,-z+1/4'
'y+3/4,x+3/4,z+1/4'
'-x,y+1/2,-z'
'x,-y+1/2,z'
'y+3/4,x+1/4,-z+3/4'
'-y+3/4,-x+1/4,z+3/4'
loop_
_atom_site_label
_atom_site_type_symbol
_atom_site_fract_x
_atom_site_fract_y
_atom_site_fract_z
Rb1 Rb 0.000 0.250 0.375
Mg1 Mg 0.000 0.000 0.000
Hg1 Hg 0.000 0.250 0.875
```

Top 6 peaks for 10 to 90 degrees two-theta, low angle first:
15.3 deg, I = 330, hkl 1 0 1; 22.8 deg, I = 1000, hkl 1 1 2; 29.4 deg, I = 267, hkl 2 0 0; 35.2 deg, I = 333, hkl 2 0 4; 35.5 deg, I = 326, hkl 1 1 6; 48.4 deg, I = 272, hkl 3 1 2

=====

# RbMgSnHg3
Theoretical powder XRD pattern, Cu Kα (weighted mean of Kα1 and Kα2). Input: a structure optimized by DFT (GGA-PBE).
Kinematic intensities with the Lorentz-polarization factor, no thermal factor.

Atomic structure:
```
data_RbMgSnHg3
_chemical_formula_sum 'Rb4 Mg4 Sn4 Hg12'
_cell_length_a 7.369
_cell_length_b 14.449
_cell_length_c 7.494
_cell_angle_alpha 90.00
_cell_angle_beta 90.00
_cell_angle_gamma 90.00
_space_group_name_H-M_alt 'C m c m'
_space_group_IT_number 63
_space_group_name_Hall '-C 2c 2'
loop_
_atom_site_label
_atom_site_type_symbol
_atom_site_fract_x
_atom_site_fract_y
_atom_site_fract_z
Rb1 Rb 0.000 0.216 0.250
Mg1 Mg 0.000 0.484 0.250
Sn1 Sn 0.000 0.118 0.750
Hg1 Hg 0.000 0.324 0.750
Hg2 Hg 0.216 0.000 0.000
```

Top 6 peaks for 10 to 90 degrees two-theta, low angle first:
12.3 deg, I = 476, hkl 0 2 0; 18.0 deg, I = 434, hkl 1 1 1; 26.8 deg, I = 917, hkl 0 2 2; 27.2 deg, I = 779, hkl 2 2 0; 34.1 deg, I = 1000, hkl 2 0 2; 34.5 deg, I = 372, hkl 0 4 2

=====

# Mg4Hg2Rh
Theoretical powder XRD pattern, Cu Kα (weighted mean of Kα1 and Kα2). Input: a structure optimized by DFT (GGA-PBE).
Kinematic intensities with the Lorentz-polarization factor, no thermal factor.

Atomic structure:
```
data_Mg4Hg2Rh
_chemical_formula_sum 'Mg8 Hg4 Rh2'
_cell_length_a 4.585
_cell_length_b 4.585
_cell_length_c 13.713
_cell_angle_alpha 90.00
_cell_angle_beta 90.00
_cell_angle_gamma 90.00
_space_group_name_H-M_alt 'I 4/m m m'
_space_group_IT_number 139
_space_group_name_Hall '-I 4 2'
loop_
_atom_site_label
_atom_site_type_symbol
_atom_site_fract_x
_atom_site_fract_y
_atom_site_fract_z
Mg1 Mg 0.000 0.500 0.106
Hg1 Hg 0.000 0.000 0.243
Rh1 Rh 0.000 0.000 0.000
```

Top 6 peaks for 10 to 90 degrees two-theta, low angle first:
12.9 deg, I = 575, hkl 0 0 2; 27.5 deg, I = 509, hkl 1 1 0; 30.5 deg, I = 472, hkl 1 1 2; 38.2 deg, I = 1000, hkl 1 1 4; 39.3 deg, I = 444, hkl 2 0 0; 70.5 deg, I = 315, hkl 3 1 4

=====

# Mg5HgRh
Theoretical powder XRD pattern, Cu Kα (weighted mean of Kα1 and Kα2). Input: a structure optimized by DFT (GGA-PBE).
Kinematic intensities with the Lorentz-polarization factor, no thermal factor.

Atomic structure:
```
data_Mg5HgRh
_chemical_formula_sum 'Mg5 Hg1 Rh1'
_cell_length_a 4.554
_cell_length_b 4.554
_cell_length_c 6.966
_cell_angle_alpha 90.00
_cell_angle_beta 90.00
_cell_angle_gamma 90.00
_space_group_name_H-M_alt 'P 4/m m m'
_space_group_IT_number 123
_space_group_name_Hall '-P 4 2'
loop_
_atom_site_label
_atom_site_type_symbol
_atom_site_fract_x
_atom_site_fract_y
_atom_site_fract_z
Mg1 Mg 0.000 0.000 0.000
Mg2 Mg 0.000 0.500 0.295
Hg1 Hg 0.500 0.500 0.000
Rh1 Rh 0.000 0.000 0.500
```

Top 6 peaks for 10 to 90 degrees two-theta, low angle first:
23.3 deg, I = 1000, hkl 1 0 1; 38.1 deg, I = 638, hkl 1 1 2; 39.6 deg, I = 308, hkl 2 0 0; 46.4 deg, I = 327, hkl 2 1 1; 60.5 deg, I = 229, hkl 1 1 4; 70.8 deg, I = 250, hkl 3 1 2

=====

# MgZrHgRh
Theoretical powder XRD pattern, Cu Kα (weighted mean of Kα1 and Kα2). Input: a structure optimized by DFT (GGA-PBE).
Kinematic intensities with the Lorentz-polarization factor, no thermal factor.

Atomic structure:
```
data_MgZrHgRh
_chemical_formula_sum 'Mg1 Zr1 Hg1 Rh1'
_cell_length_a 3.250
_cell_length_b 3.250
_cell_length_c 7.232
_cell_angle_alpha 90.00
_cell_angle_beta 90.00
_cell_angle_gamma 90.00
_space_group_name_H-M_alt 'P 4 m m'
_space_group_IT_number 99
loop_
_space_group_symop_operation_xyz
'x,y,z'
'-y,x,z'
'-x,-y,z'
'y,-x,z'
'-x,y,z'
'y,x,z'
'x,-y,z'
'-y,-x,z'
loop_
_atom_site_label
_atom_site_type_symbol
_atom_site_fract_x
_atom_site_fract_y
_atom_site_fract_z
Mg1 Mg 0.000 0.000 0.000
Zr1 Zr 0.000 0.000 0.440
Hg1 Hg 0.500 0.500 0.739
Rh1 Rh 0.500 0.500 0.229
```

Top 6 peaks for 10 to 90 degrees two-theta, low angle first:
24.6 deg, I = 180, hkl 0 0 2; 27.4 deg, I = 225, hkl 1 0 0; 30.1 deg, I = 208, hkl 1 0 1; 37.2 deg, I = 1000, hkl 1 0 2; 39.2 deg, I = 460, hkl 1 1 0; 69.7 deg, I = 346, hkl 2 1 2